[1]
Simulated PXRD pattern of DyY4Tm2Te2Pd2 for Cu Kα (λ = 1.5418 Å), from a structure optimized by DFT (GGA-PBE).

Peak list (10 most intense, 15° ≤ 2θ ≤ 90°, in order of rising 2θ)
- 2θ 28.37, I 42
- 2θ 29.89, I 77
- 2θ 32.75, I 67
- 2θ 33.55, I 100
- 2θ 34.03, I 61
- 2θ 36.10, I 36
- 2θ 37.94, I 36
- 2θ 39.19, I 30
- 2θ 46.06, I 34
- 2θ 57.66, I 26

Crystal structure
```
DyY4Tm2Te2Pd2
1.0
-1.970 7.846 4.813
1.970 -7.846 4.813
1.970 7.846 -4.813
Dy Y Tm Te Pd
1 4 2 2 2
Cartesian
0.000 0.000 0.000
1.970 5.843 -0.817
0.000 2.003 3.996
0.000 5.589 2.530
0.000 10.102 2.530
1.970 2.868 1.177
0.000 4.978 5.990
1.970 0.000 2.513
0.000 0.000 6.388
1.970 -4.128 4.162
1.970 4.128 4.162
```

[2]
Simulated PXRD pattern of Dy4YTm2Te2Pd2 for Cu Kα (λ = 1.5418 Å), from a structure optimized by DFT (GGA-PBE).

Peak list (10 most intense, 15° ≤ 2θ ≤ 90°, in order of rising 2θ)
- 2θ 28.42, I 29
- 2θ 29.93, I 60
- 2θ 32.79, I 62
- 2θ 33.60, I 100
- 2θ 34.09, I 58
- 2θ 36.17, I 21
- 2θ 38.01, I 25
- 2θ 46.19, I 29
- 2θ 50.59, I 19
- 2θ 57.81, I 31

Crystal structure
```
Dy4YTm2Te2Pd2
1.0
-1.965 7.845 4.805
1.965 -7.845 4.805
1.965 7.845 -4.805
Dy Y Tm Te Pd
4 1 2 2 2
Cartesian
0.000 2.026 0.000
1.965 -2.270 3.339
1.965 2.270 3.339
0.000 13.665 0.000
0.000 0.000 5.612
0.000 4.981 1.995
0.000 10.710 1.995
0.000 0.000 2.377
0.000 7.845 3.330
1.965 4.125 0.146
0.000 3.720 4.951
```

[3]
Simulated PXRD pattern of Dy5Y2Te2Pd2 for Cu Kα (λ = 1.5418 Å), from a structure optimized by DFT (GGA-PBE).

Peak list (10 most intense, 15° ≤ 2θ ≤ 90°, in order of rising 2θ)
- 2θ 28.32, I 25
- 2θ 29.80, I 69
- 2θ 32.65, I 57
- 2θ 33.45, I 100
- 2θ 33.96, I 55
- 2θ 36.07, I 20
- 2θ 37.88, I 24
- 2θ 39.03, I 20
- 2θ 46.05, I 35
- 2θ 57.60, I 22

Crystal structure
```
Dy5Y2Te2Pd2
1.0
-1.971 7.896 4.820
1.971 -7.896 4.820
1.971 7.896 -4.820
Dy Y Te Pd
5 2 2 2
Cartesian
0.000 0.000 0.000
1.971 5.873 -0.812
1.971 2.878 1.183
0.000 2.023 4.008
0.000 5.017 6.003
0.000 5.638 2.533
0.000 10.154 2.533
1.971 0.000 2.535
0.000 0.000 6.391
1.971 -4.129 4.136
1.971 4.129 4.136
```

[4]
Simulated PXRD pattern of Dy2TmPd for Cu Kα (λ = 1.5418 Å), from a structure optimized by DFT (GGA-PBE).

Peak list (10 most intense, 15° ≤ 2θ ≤ 90°, in order of rising 2θ)
- 2θ 28.01, I 70
- 2θ 31.76, I 13
- 2θ 33.60, I 100
- 2θ 45.70, I 40
- 2θ 50.70, I 26
- 2θ 54.46, I 11
- 2θ 56.72, I 16
- 2θ 57.90, I 21
- 2θ 76.71, I 18
- 2θ 88.27, I 11

Crystal structure
```
Dy2TmPd
1.0
3.971 0.000 0.000
-1.985 3.439 0.000
0.000 0.000 8.453
Dy Tm Pd
2 1 1
Cartesian
0.000 0.000 0.000
0.000 2.292 5.770
1.985 1.146 2.636
0.000 0.000 4.163
```

[5]
Simulated PXRD pattern of Pm3DySi for Cu Kα (λ = 1.5418 Å), from a structure optimized by DFT (GGA-PBE).

Peak list (10 most intense, 15° ≤ 2θ ≤ 90°, in order of rising 2θ)
- 2θ 26.41, I 21
- 2θ 27.37, I 100
- 2θ 28.69, I 35
- 2θ 32.10, I 82
- 2θ 45.16, I 23
- 2θ 46.89, I 28
- 2θ 47.38, I 13
- 2θ 54.38, I 21
- 2θ 55.90, I 14
- 2θ 56.47, I 10

Crystal structure
```
Pm3DySi
1.0
4.016 2.319 6.223
-4.016 2.319 6.223
0.000 -4.637 6.223
Pm Dy Si
6 2 2
Cartesian
-2.190 0.844 7.778
-1.826 -1.474 10.890
0.364 -2.319 7.778
-0.364 2.319 10.890
1.826 1.474 7.778
2.190 -0.844 10.890
0.000 0.000 4.667
0.000 0.000 14.001
0.000 0.000 0.000
0.000 0.000 9.334
```

[6]
Simulated PXRD pattern of PrDyPt2 for Cu Kα (λ = 1.5418 Å), from a structure optimized by DFT (GGA-PBE).

Peak list (10 most intense, 15° ≤ 2θ ≤ 90°, in order of rising 2θ)
- 2θ 31.55, I 100
- 2θ 33.68, I 34
- 2θ 34.25, I 22
- 2θ 35.12, I 55
- 2θ 35.67, I 77
- 2θ 39.15, I 59
- 2θ 39.35, I 65
- 2θ 39.66, I 58
- 2θ 52.74, I 19
- 2θ 68.56, I 24

Crystal structure
```
PrDyPt2
1.0
5.672 0.000 0.000
0.000 4.580 0.000
-0.173 0.000 7.221
Pr Dy Pt
2 2 4
Cartesian
0.771 1.145 1.340
4.729 3.435 5.881
1.931 1.145 4.910
3.568 3.435 2.311
0.848 3.435 3.347
1.838 3.435 6.853
3.661 1.145 0.368
4.651 1.145 3.874
```

[7]
Simulated PXRD pattern of Pr2DySn3Pt3 for Cu Kα (λ = 1.5418 Å), from a structure optimized by DFT (GGA-PBE).

Peak list (10 most intense, 15° ≤ 2θ ≤ 90°, in order of rising 2θ)
- 2θ 23.33, I 16
- 2θ 32.01, I 73
- 2θ 34.84, I 100
- 2θ 35.97, I 33
- 2θ 41.00, I 41
- 2θ 42.35, I 40
- 2θ 44.03, I 27
- 2θ 58.11, I 17
- 2θ 61.73, I 25
- 2θ 65.71, I 21

Crystal structure
```
Pr2DySn3Pt3
1.0
4.113 0.000 0.000
0.000 6.595 3.819
0.000 -6.595 3.819
Pr Dy Sn Pt
2 1 3 3
Cartesian
0.000 -3.881 3.819
0.000 3.881 3.819
0.000 0.000 4.700
2.056 -1.656 2.558
2.056 1.656 2.558
2.056 0.000 7.272
0.000 0.000 1.620
2.056 -2.123 5.372
2.056 2.123 5.372
```

[8]
Simulated PXRD pattern of PrDyZn2Sn2 for Cu Kα (λ = 1.5418 Å), from a structure optimized by DFT (GGA-PBE).

Peak list (10 most intense, 15° ≤ 2θ ≤ 90°, in order of rising 2θ)
- 2θ 27.99, I 15
- 2θ 31.58, I 100
- 2θ 39.69, I 60
- 2θ 44.37, I 7
- 2θ 45.19, I 14
- 2θ 51.58, I 25
- 2θ 61.03, I 17
- 2θ 66.99, I 23
- 2θ 72.03, I 10
- 2θ 85.52, I 7

Crystal structure
```
PrDyZn2Sn2
1.0
4.542 0.000 0.000
-2.271 3.933 0.000
0.000 0.000 16.332
Pr Dy Zn Sn
2 2 4 4
Cartesian
0.000 0.000 0.000
0.000 0.000 8.166
0.000 0.000 4.083
0.000 0.000 12.249
0.000 2.622 2.665
0.000 2.622 5.501
2.271 1.311 10.831
2.271 1.311 13.667
0.000 2.622 10.113
0.000 2.622 14.385
2.271 1.311 1.947
2.271 1.311 6.219
```